1.
Calculated XRD peak list
Compound: Pr4Tm3Pu
Radiation: Cu Kα (weighted mean of Kα1 and Kα2)
Structure: a GGA-PBE-relaxed structure
Intensities are scaled so that the largest is 100.

Top 10 peaks for 10 to 90 degrees two-theta, sorted by position:
2θ (°)	intensity	index
26.5	17	1 0 1
30.1	74	1 1 2
30.7	74	0 4 0
31.5	100	0 2 4
36.5	32	1 2 3
37.4	42	1 3 2
49.1	19	1 5 2
55.1	21	0 6 4
62.6	28	2 2 4
89.0	18	2 4 8

Cell lengths 3.4817, 11.6369, 13.0130 Å; angles 90.00, 90.00, 90.00 degrees
Space group Immm (No. 71)
Inequivalent atoms, fractional coordinates:
Pr1 0.0000 0.2493 0.1306 x8
Tm1 0.0000 0.0000 0.5000 x2
Tm2 0.0000 0.5000 0.2680 x4
Pu1 0.0000 0.0000 0.0000 x2

=====

2.
Calculated XRD peak list
Compound: Pr4Y6Pu
Radiation: Cu Kα (weighted mean of Kα1 and Kα2)
Structure: a GGA-PBE-relaxed structure
Intensities are scaled so that the largest is 100.

Top 10 peaks for 10 to 90 degrees two-theta, sorted by position:
2θ (°)	intensity	index
13.8	12	1 0 1
28.8	13	2 2 0
29.6	100	2 1 2
30.0	16	1 0 3
32.3	68	3 1 0
36.5	19	2 1 3
37.9	15	0 0 4
50.7	20	3 1 4
60.2	19	5 2 2
63.5	11	2 1 6

Cell lengths 8.7570, 8.7570, 9.4850 Å; angles 90.00, 90.00, 90.00 degrees
Space group P4/mnc (No. 128)
Inequivalent atoms, fractional coordinates:
Pr1 0.1411 0.3589 0.2500 x8
Y1 0.0000 0.0000 0.1716 x4
Y2 0.1578 0.6586 0.0000 x8
Pu1 0.0000 0.0000 0.5000 x2

=====

3.
Calculated XRD peak list
Compound: Pr6Y8Pu
Radiation: Cu Kα (weighted mean of Kα1 and Kα2)
Structure: a GGA-PBE-relaxed structure
Intensities are scaled so that the largest is 100.

Top 10 peaks for 10 to 90 degrees two-theta, sorted by position:
2θ (°)	intensity	index
30.1	23	2 1 1
31.0	100	3 -2 2
31.9	29	1 0 7
32.2	10	2 -1 6
34.5	14	2 1 4
36.3	14	0 3 3
52.4	10	0 3 9
53.3	8	2 0 11
54.6	13	5 -1 3
59.4	9	5 -2 7

Cell lengths 9.1618, 9.1618, 20.9574 Å; angles 90.00, 90.00, 120.00 degrees
Space group R-3 (No. 148, hexagonal axes)
Inequivalent atoms, fractional coordinates:
Pr1 0.0656 0.2542 0.2085 x18
Y1 0.0000 0.0000 0.0766 x6
Y2 0.0822 0.5650 0.3066 x18
Pu1 0.0000 0.0000 0.5000 x3

=====

4.
Calculated XRD peak list
Compound: PrY14Pu
Radiation: Cu Kα (weighted mean of Kα1 and Kα2)
Structure: a GGA-PBE-relaxed structure
Intensities are scaled so that the largest is 100.

Top 10 peaks for 10 to 90 degrees two-theta, sorted by position:
2θ (°)	intensity	index
30.6	100	2 0 2
35.5	34	2 2 0
35.7	17	0 0 4
51.0	12	4 0 0
51.2	23	2 2 4
60.7	27	4 2 2
61.0	14	2 0 6
63.8	12	4 0 4
83.2	6	6 0 2
83.4	11	4 2 6

Cell lengths 7.1615, 7.1615, 10.0666 Å; angles 90.00, 90.00, 90.00 degrees
Space group P4/mmm (No. 123)
Inequivalent atoms, fractional coordinates:
Pr1 0.0000 0.0000 0.0000 x1
Y1 0.0000 0.0000 0.5000 x1
Y2 0.0000 0.5000 0.0000 x2
Y3 0.0000 0.5000 0.5000 x2
Y4 0.2525 0.2525 0.2489 x8
Y5 0.5000 0.5000 0.5000 x1
Pu1 0.5000 0.5000 0.0000 x1

=====

5.
Calculated XRD peak list
Compound: Pr12Y7Pu
Radiation: Cu Kα (weighted mean of Kα1 and Kα2)
Structure: a GGA-PBE-relaxed structure
Intensities are scaled so that the largest is 100.

Top 10 peaks for 10 to 90 degrees two-theta, sorted by position:
2θ (°)	intensity	index
15.1	15	2 0 0
26.4	100	2 2 2
30.6	100	4 0 0
43.8	74	4 4 0
51.8	47	6 2 2
54.3	26	4 4 4
70.1	19	6 6 2
72.2	33	8 4 0
80.4	25	8 4 4
86.4	15	10 2 2

Cell lengths 11.6992, 11.6992, 11.6992 Å; angles 90.00, 90.00, 90.00 degrees
Space group Im-3 (No. 204)
Inequivalent atoms, fractional coordinates:
Pr1 0.0000 0.2473 0.2515 x24
Y1 0.0000 0.0000 0.5000 x6
Y2 0.2500 0.2500 0.2500 x8
Pu1 0.0000 0.0000 0.0000 x2

=====

6.
Calculated XRD peak list
Compound: RbPr4
Radiation: Cu Kα (weighted mean of Kα1 and Kα2)
Structure: a GGA-PBE-relaxed structure
Intensities are scaled so that the largest is 100.

Top 10 peaks for 10 to 90 degrees two-theta, sorted by position:
2θ (°)	intensity	index
26.4	100	1 1 1
30.6	96	2 0 0
43.8	71	2 2 0
51.9	47	3 1 1
54.4	25	2 2 2
63.7	12	4 0 0
70.2	19	3 3 1
72.3	32	4 2 0
80.6	24	4 2 2
86.6	15	5 1 1

Cell lengths 5.8418, 5.8418, 5.8418 Å; angles 90.00, 90.00, 90.00 degrees
Space group Pm-3m (No. 221)
Inequivalent atoms, fractional coordinates:
Rb1 0.0000 0.0000 0.0000 x1
Pr1 0.0000 0.0000 0.5000 x3
Pr2 0.5000 0.5000 0.5000 x1